[1]
Starting from a PBE-relaxed structure, the X-ray diffraction stick pattern of Nd11Ho4Sc9 was simulated for Cu Kα.
Kinematic intensities with the Lorentz-polarization factor, no thermal factor.

Lattice parameters (Å, degrees): 16.411 24.939 3.590 90.00 90.00 90.00
Space group Cmmm (No. 65)
Symmetry-distinct sites (fractional):
Nd: 0.000 0.000 0.000 x2
Nd: 0.000 0.161 0.000 x4
Nd: 0.000 0.367 0.000 x4
Nd: 0.215 0.500 0.000 x4
Nd: 0.219 0.182 0.000 x8
Ho: 0.159 0.398 0.500 x8
Sc: 0.000 0.500 0.500 x2
Sc: 0.100 0.269 0.500 x8
Sc: 0.139 0.073 0.500 x8

Largest 10 diffraction maxima, sorted by position, 10 to 90 degrees two-theta:
| 2theta | Rel. int. |
| --- | --- |
| 16.59 | 28.8 |
| 18.59 | 30.1 |
| 30.62 | 92.9 |
| 30.73 | 39.2 |
| 31.70 | 41.3 |
| 32.70 | 28.3 |
| 32.97 | 100.0 |
| 33.16 | 95.0 |
| 34.89 | 29.3 |
| 50.87 | 24.1 |

***

[2]
Starting from a PBE-relaxed structure, the X-ray diffraction stick pattern of Nd8Ho6Sc was simulated for Cu Kα.
Kinematic intensities with the Lorentz-polarization factor, no thermal factor.

Lattice parameters (Å, degrees): 9.8635 9.8635 17.6806 90.00 90.00 120.00
Space group R-3 (No. 148, hexagonal axes)
Symmetry-distinct sites (fractional):
Nd: 0.0000 0.0000 0.0902 x6
Nd: 0.0567 0.8215 0.6713 x18
Ho: 0.0370 0.6276 0.8426 x18
Sc: 0.0000 0.0000 0.5000 x3

Largest 10 diffraction maxima, sorted by position, 10 to 90 degrees two-theta:
| 2theta | Rel. int. |
| --- | --- |
| 28.10 | 15.1 |
| 29.45 | 100.0 |
| 30.33 | 25.7 |
| 31.42 | 12.4 |
| 34.40 | 50.0 |
| 35.00 | 30.8 |
| 35.49 | 26.8 |
| 48.86 | 15.9 |
| 50.01 | 16.9 |
| 59.62 | 12.9 |

***

[3]
Starting from a PBE-relaxed structure, the X-ray diffraction stick pattern of Nd2Ho7Sc3 was simulated for Cu Kα.
Kinematic intensities with the Lorentz-polarization factor, no thermal factor.

Lattice parameters (Å, degrees): 5.565 37.176 3.525 90.00 90.00 90.00
Space group Cmmm (No. 65)
Symmetry-distinct sites (fractional):
Nd: 0.000 0.148 0.000 x4
Ho: 0.000 0.000 0.000 x2
Ho: 0.000 0.070 0.500 x4
Ho: 0.000 0.231 0.000 x4
Ho: 0.000 0.411 0.000 x4
Sc: 0.000 0.312 0.500 x4
Sc: 0.000 0.500 0.500 x2

Largest 10 diffraction maxima, sorted by position, 10 to 90 degrees two-theta:
| 2theta | Rel. int. |
| --- | --- |
| 14.29 | 23.7 |
| 16.11 | 28.0 |
| 28.82 | 23.4 |
| 30.94 | 45.5 |
| 31.87 | 30.2 |
| 32.17 | 67.8 |
| 32.39 | 100.0 |
| 34.53 | 55.1 |
| 35.30 | 39.4 |
| 51.88 | 23.8 |

***

[4]
Starting from a PBE-relaxed structure, the X-ray diffraction stick pattern of Nd2Ho2Sc3 was simulated for Cu Kα.
Kinematic intensities with the Lorentz-polarization factor, no thermal factor.

Lattice parameters (Å, degrees): 6.346 6.625 11.507 90.00 121.38 90.00
Space group P2_1/c (No. 14)
Symmetry-distinct sites (fractional):
Nd: 0.079 0.230 0.183 x4
Ho: 0.312 0.742 0.696 x4
Sc: 0.279 0.089 0.494 x4
Sc: 0.500 0.000 0.000 x2

Largest 10 diffraction maxima, sorted by position, 10 to 90 degrees two-theta:
| 2theta | Rel. int. |
| --- | --- |
| 18.06 | 32.8 |
| 26.92 | 37.3 |
| 30.26 | 17.5 |
| 31.25 | 100.0 |
| 32.60 | 45.2 |
| 33.21 | 32.7 |
| 34.07 | 16.1 |
| 35.81 | 26.6 |
| 36.88 | 17.1 |
| 41.66 | 15.3 |

***

[5]
Starting from a PBE-relaxed structure, the X-ray diffraction stick pattern of Nd8Ho3Sc2 was simulated for Cu Kα.
Kinematic intensities with the Lorentz-polarization factor, no thermal factor.

Lattice parameters (Å, degrees): 7.789 19.784 5.700 90.00 90.00 90.00
Space group Cmmm (No. 65)
Symmetry-distinct sites (fractional):
Nd: 0.000 0.132 0.000 x4
Nd: 0.000 0.321 0.000 x4
Nd: 0.204 0.390 0.500 x8
Ho: 0.000 0.000 0.500 x2
Ho: 0.212 0.500 0.000 x4
Sc: 0.000 0.239 0.500 x4

Largest 10 diffraction maxima, sorted by position, 10 to 90 degrees two-theta:
| 2theta | Rel. int. |
| --- | --- |
| 24.57 | 16.1 |
| 29.20 | 18.2 |
| 29.78 | 49.0 |
| 31.37 | 74.4 |
| 33.23 | 100.0 |
| 34.85 | 15.4 |
| 47.59 | 17.4 |
| 54.75 | 18.0 |
| 57.06 | 21.2 |
| 66.57 | 15.3 |

***

[6]
Starting from a PBE-relaxed structure, the X-ray diffraction stick pattern of NdHo3Sc7 was simulated for Cu Kα.
Kinematic intensities with the Lorentz-polarization factor, no thermal factor.

Lattice parameters (Å, degrees): 12.030 10.510 5.449 90.00 116.86 90.00
Space group C2/m (No. 12)
Symmetry-distinct sites (fractional):
Nd: 0.000 0.000 0.000 x2
Ho: 0.000 0.291 0.500 x4
Ho: 0.000 0.500 0.000 x2
Sc: 0.000 0.000 0.500 x2
Sc: 0.207 0.500 0.706 x4
Sc: 0.218 0.310 0.218 x8

Largest 10 diffraction maxima, sorted by position, 10 to 90 degrees two-theta:
| 2theta | Rel. int. |
| --- | --- |
| 16.52 | 48.7 |
| 24.96 | 100.0 |
| 32.87 | 45.8 |
| 33.40 | 34.9 |
| 34.12 | 17.7 |
| 34.51 | 83.9 |
| 34.73 | 47.1 |
| 47.57 | 25.4 |
| 59.76 | 22.8 |
| 65.72 | 16.2 |

***

[7]
Starting from a PBE-relaxed structure, the X-ray diffraction stick pattern of Nd5HoSc3 was simulated for Cu Kα.
Kinematic intensities with the Lorentz-polarization factor, no thermal factor.

Lattice parameters (Å, degrees): 11.375 11.465 10.265 90.00 107.31 90.00
Space group C2/m (No. 12)
Symmetry-distinct sites (fractional):
Nd: 0.000 0.246 0.000 x4
Nd: 0.025 0.243 0.343 x8
Nd: 0.242 0.500 0.580 x4
Nd: 0.249 0.500 0.916 x4
Ho: 0.248 0.000 0.748 x4
Sc: 0.000 0.000 0.500 x2
Sc: 0.000 0.500 0.000 x2
Sc: 0.001 0.000 0.166 x4
Sc: 0.001 0.500 0.672 x4

Largest 10 diffraction maxima, sorted by position, 10 to 90 degrees two-theta:
| 2theta | Rel. int. |
| --- | --- |
| 22.56 | 100.0 |
| 27.20 | 13.1 |
| 27.33 | 20.9 |
| 31.21 | 42.8 |
| 31.52 | 16.4 |
| 31.57 | 15.5 |
| 31.88 | 51.0 |
| 32.99 | 33.1 |
| 39.03 | 36.0 |
| 46.05 | 25.7 |

***

[8]
Starting from a PBE-relaxed structure, the X-ray diffraction stick pattern of NdHoSc2Se4 was simulated for Cu Kα.
Kinematic intensities with the Lorentz-polarization factor, no thermal factor.

Lattice parameters (Å, degrees): 6.939 3.962 7.021 90.00 108.86 90.00
Space group P2/m (No. 10)
Symmetry-distinct sites (fractional):
Nd: 0.000 0.000 0.000 x1
Ho: 0.500 0.500 0.000 x1
Sc: 0.000 0.500 0.500 x1
Sc: 0.500 0.000 0.500 x1
Se: 0.251 0.000 0.731 x2
Se: 0.265 0.500 0.274 x2

Largest 10 diffraction maxima, sorted by position, 10 to 90 degrees two-theta:
| 2theta | Rel. int. |
| --- | --- |
| 13.33 | 14.1 |
| 26.27 | 11.1 |
| 31.54 | 100.0 |
| 44.63 | 12.0 |
| 44.99 | 23.5 |
| 45.41 | 24.1 |
| 45.81 | 11.8 |
| 56.67 | 12.2 |
| 65.85 | 11.0 |
| 75.14 | 10.3 |